# Th2GaGePt6
Calculated PXRD pattern, Cu Kα (λ = 1.5418 Å). Input: DFT lattice parameters and positions (PBE).

Atomic structure:
Cell lengths 8.386, 8.386, 8.386 Å; angles 39.70, 39.70, 39.70 degrees
Fractional positions:
1 Th 0.208 0.208 0.208
2 Th 0.792 0.792 0.792
3 Ga 0.500 0.500 0.500
4 Ge 0.000 0.000 0.000
5 Pt 0.248 0.751 0.751
6 Pt 0.249 0.249 0.752
7 Pt 0.249 0.752 0.249
8 Pt 0.751 0.248 0.751
9 Pt 0.751 0.751 0.248
10 Pt 0.752 0.249 0.249

Principal peaks in the range 2θ = 5–70°, in order of falling intensity:
2θ/deg	d [Å]	Rel. int.
39.73	2.269	100
37.28	2.412	99
23.06	3.857	58
65.56	1.424	31
43.18	2.095	29
48.51	1.877	28
11.47	7.714	27
39.33	2.291	26
26.41	3.375	23
64.15	1.452	18